Theoretical powder XRD pattern
Compound: LiFe4P3O12
Radiation: Cu Kα, 1.54184 Å
Structure: DFT lattice parameters and positions (GGA+U)
No peak broadening, texture or thermal motion is included.

Principal peaks in the range 2θ from 10° to 80°, by intensity:
2θ (°)	d/Å	I (rel.)	index
32.07	2.791	100.0	0 0 3
18.33	4.840	54.1	0 1 -1
31.91	2.804	49.5	1 1 -2
32.12	2.787	49.4	0 3 3
10.57	8.367	47.1	0 1 0
25.92	3.438	42.3	1 0 -2
29.79	2.999	38.3	2 0 0
18.16	4.884	32.0	1 0 -1
41.64	2.169	30.8	1 4 1
35.13	2.555	25.4	2 2 1
35.32	2.541	24.2	2 -1 1
26.07	3.418	22.7	-1 2 2

Structure:
```
data_LiFe4P3O12
_symmetry_space_group_name_H-M 'P 1'
_symmetry_Int_Tables_number 1
_cell_length_a 5.998
_cell_length_b 9.654
_cell_length_c 9.663
_cell_angle_alpha 60.07
_cell_angle_beta 89.80
_cell_angle_gamma 89.49
loop_
_symmetry_equiv_pos_as_xyz
'x,y,z'
loop_
_atom_site_label
_atom_site_fract_x
_atom_site_fract_y
_atom_site_fract_z
Li1 0.000 0.000 0.000
Li2 0.499 0.332 0.330
Fe1 0.026 0.326 0.336
Fe2 0.262 0.354 0.718
Fe3 0.264 0.713 0.928
Fe4 0.269 0.922 0.357
Fe5 0.527 0.995 0.000
Fe6 0.764 0.402 0.978
Fe7 0.765 0.611 0.409
Fe8 0.766 0.972 0.617
P1 0.263 0.037 0.686
P2 0.264 0.680 0.276
P3 0.266 0.270 0.042
P4 0.764 0.288 0.652
P5 0.764 0.644 0.061
P6 0.766 0.056 0.293
O1 0.060 0.729 0.344
O2 0.061 0.338 0.926
O3 0.064 0.918 0.734
O4 0.260 0.171 0.513
O5 0.262 0.507 0.313
O6 0.264 0.309 0.176
O7 0.267 0.105 0.804
O8 0.274 0.798 0.090
O9 0.279 0.085 0.109
O10 0.464 0.723 0.351
O11 0.465 0.346 0.922
O12 0.468 0.920 0.732
O13 0.558 0.403 0.602
O14 0.562 0.596 0.992
O15 0.566 0.983 0.413
O16 0.758 0.817 0.022
O17 0.763 0.154 0.825
O18 0.764 0.018 0.158
O19 0.767 0.242 0.226
O20 0.775 0.526 0.246
O21 0.779 0.219 0.534
O22 0.961 0.409 0.608
O23 0.966 0.600 0.986
O24 0.970 0.986 0.409
```